Computed X-ray diffraction stick pattern of CaSmAlO4 for Cu Kα, 1.54184 Å, from DFT lattice parameters and positions (GGA-PBE).
Kinematic intensities with the Lorentz-polarization factor, no thermal factor.

Most intense lines, 2θ from 10° to 90°, most intense first:
2θ/deg  d [Å]  I (rel.)
32.9  2.725  100
25.2  3.537  84
34.3  2.616  71
14.7  6.042  60
45.9  1.978  52
49.3  1.850  41
60.5  1.530  36
37.5  2.400  33
44.8  2.023  25
29.6  3.021  21

Structural model:
Cell: 3.6993 3.6993 12.0847 Å, 90.00 90.00 90.00°
Space group I4mm (No. 107)
Asymmetric unit:
1 Ca 0.0000 0.0000 0.0000 (multiplicity 2)
2 Sm 0.0000 0.0000 0.7150 (multiplicity 2)
3 Al 0.0000 0.0000 0.3639 (multiplicity 2)
4 O 0.0000 0.0000 0.1890 (multiplicity 2)
5 O 0.0000 0.0000 0.5239 (multiplicity 2)
6 O 0.0000 0.5000 0.3525 (multiplicity 4)

Computed X-ray diffraction stick pattern of Ca2AlPd2 for Cu Kα, 1.54184 Å, from DFT lattice parameters and positions (GGA-PBE).
Kinematic intensities with the Lorentz-polarization factor, no thermal factor.

Most intense lines, 2θ from 10° to 90°, most intense first:
2θ/deg  d [Å]  I (rel.)
36.7  2.447  100
39.3  2.291  60
17.8  4.977  48
23.4  3.806  44
20.2  4.398  40
38.0  2.371  31
39.2  2.301  31
64.4  1.446  29
31.1  2.872  28
35.8  2.508  28

Structural model:
Cell: 10.0285 5.7817 7.8043 Å, 90.00 102.73 90.00°
Space group C2/c (No. 15)
Asymmetric unit:
1 Ca 0.1500 0.1300 0.1492 (multiplicity 8)
2 Al 0.0000 0.3794 0.7500 (multiplicity 4)
3 Pd 0.1274 0.3682 0.5034 (multiplicity 8)